# 1
# HoFeCo
Simulated powder diffractogram, copper Kα. Input: a GGA-PBE-relaxed structure.

Atomic structure:
```
HoFeCo
1.0
5.054 0.000 0.000
0.000 5.240 0.000
0.000 0.000 7.128
Ho Fe Co
4 4 4
Cartesian
0.000 1.310 0.889
0.000 3.930 6.239
2.527 1.310 2.675
2.527 3.930 4.453
1.263 1.310 5.346
1.263 3.930 1.782
3.790 1.310 5.346
3.790 3.930 1.782
0.000 0.000 3.564
0.000 2.620 3.564
2.527 0.000 0.000
2.527 2.620 0.000
```

Largest 6 diffraction maxima, low angle first, 2θ = 10–90°:
2θ = 35.26°, I = 93
2θ = 40.81°, I = 74
2θ = 41.68°, I = 100
2θ = 42.02°, I = 34
2θ = 66.39°, I = 24
2θ = 74.55°, I = 30



# 2
# Ho2Fe5Co12
Simulated powder diffractogram, copper Kα. Input: a GGA-PBE-relaxed structure.

Atomic structure:
```
Ho2Fe5Co12
1.0
8.354 0.000 0.000
-4.177 7.234 0.000
0.000 0.000 8.119
Ho Fe Co
4 10 24
Cartesian
0.000 0.000 2.030
0.000 0.000 6.090
0.000 4.823 2.030
4.177 2.411 6.090
-2.088 3.617 0.000
-2.088 3.617 4.060
0.000 4.823 4.922
0.000 4.823 7.257
4.177 0.000 0.000
4.177 0.000 4.060
2.088 3.617 0.000
2.088 3.617 4.060
4.177 2.411 0.863
4.177 2.411 3.197
-1.174 2.695 6.090
-2.430 4.871 6.090
0.000 2.373 0.142
0.000 2.373 3.917
-2.122 6.048 0.142
-2.122 6.048 3.917
1.174 2.695 6.090
-1.256 6.904 6.090
2.055 1.186 4.202
2.055 1.186 7.977
2.921 0.331 2.030
1.747 2.364 2.030
2.430 4.871 6.090
1.256 6.904 6.090
2.122 6.048 0.142
2.122 6.048 3.917
5.433 0.331 2.030
3.003 4.540 2.030
6.299 1.186 4.202
6.299 1.186 7.977
4.177 4.862 4.202
4.177 4.862 7.977
6.607 2.364 2.030
5.351 4.540 2.030
```

Largest 6 diffraction maxima, low angle first, 2θ = 10–90°:
2θ = 30.71°, I = 41
2θ = 37.29°, I = 41
2θ = 41.68°, I = 35
2θ = 43.33°, I = 60
2θ = 43.66°, I = 100
2θ = 44.64°, I = 32



# 3
# HoTiFe8Co3
Simulated powder diffractogram, copper Kα. Input: a GGA-PBE-relaxed structure.

Atomic structure:
```
HoTiFe8Co3
1.0
-2.362 4.231 4.200
2.362 -4.231 4.200
2.362 4.231 -4.200
Ho Ti Fe Co
1 1 8 3
Cartesian
0.000 0.000 0.000
0.000 0.000 3.189
1.183 2.103 -2.069
3.540 2.103 -2.069
2.362 1.858 0.047
2.362 0.000 1.901
-1.179 2.128 2.131
1.179 2.128 2.131
0.000 4.231 2.317
0.000 2.373 4.247
0.000 3.037 0.024
0.000 5.425 0.024
0.000 0.000 5.499
```

Largest 6 diffraction maxima, low angle first, 2θ = 10–90°:
2θ = 30.33°, I = 46
2θ = 37.12°, I = 29
2θ = 42.74°, I = 32
2θ = 43.10°, I = 100
2θ = 43.22°, I = 53
2θ = 43.95°, I = 82



# 4
# Mn3FeCo2P3
Simulated powder diffractogram, copper Kα. Input: a GGA-PBE-relaxed structure.

Atomic structure:
```
Mn3FeCo2P3
1.0
5.832 0.000 0.000
0.000 3.496 0.000
-0.022 0.000 20.059
Mn Fe Co P
12 4 8 12
Cartesian
0.000 0.000 0.000
5.823 0.000 6.681
5.815 0.000 13.369
2.586 1.748 3.344
2.586 1.748 10.026
2.579 1.748 16.715
2.913 0.000 1.080
2.906 0.000 7.774
2.898 0.000 14.461
5.485 1.748 17.797
5.505 1.748 4.427
5.496 1.748 11.115
1.886 1.748 19.340
1.903 1.748 5.974
1.897 1.748 12.659
4.823 1.748 1.801
0.673 0.000 9.332
0.668 0.000 16.018
0.699 0.000 2.652
3.607 0.000 5.114
3.596 0.000 11.805
3.594 0.000 18.493
4.824 1.748 8.467
4.816 1.748 15.155
1.183 1.748 1.358
1.193 1.748 8.048
1.185 1.748 14.732
1.395 0.000 4.725
1.387 0.000 11.411
1.382 0.000 18.099
4.078 1.748 19.785
4.099 1.748 6.392
4.091 1.748 13.081
4.300 0.000 9.738
4.294 0.000 16.422
4.317 0.000 3.041
```

Largest 6 diffraction maxima, low angle first, 2θ = 10–90°:
2θ = 40.28°, I = 43
2θ = 40.41°, I = 100
2θ = 42.58°, I = 76
2θ = 48.44°, I = 31
2θ = 48.79°, I = 32
2θ = 52.34°, I = 40



# 5
# YFe5Co5Mo2
Simulated powder diffractogram, copper Kα. Input: a GGA-PBE-relaxed structure.

Atomic structure:
```
YFe5Co5Mo2
1.0
4.692 0.000 0.000
2.294 6.030 0.000
2.344 0.001 6.031
Y Fe Co Mo
1 5 5 2
Cartesian
0.000 0.000 0.000
1.172 0.001 3.015
2.331 2.163 3.878
6.999 3.868 2.153
3.518 0.001 3.015
3.493 3.015 0.000
1.147 3.015 0.000
2.334 1.352 1.347
4.649 4.710 1.326
4.682 1.322 4.705
6.996 4.679 4.684
4.652 3.873 3.884
4.678 2.158 2.147
```

Largest 6 diffraction maxima, low angle first, 2θ = 10–90°:
2θ = 37.08°, I = 50
2θ = 42.39°, I = 100
2θ = 42.81°, I = 86
2θ = 43.94°, I = 59
2θ = 44.18°, I = 59
2θ = 47.69°, I = 52



# 6
# Fe2Co9N8
Simulated powder diffractogram, copper Kα. Input: a GGA-PBE-relaxed structure.

Atomic structure:
```
Fe2Co9N8
1.0
8.471 -1.887 0.000
8.471 1.887 0.000
-2.036 0.000 5.646
Fe Co N
2 9 8
Cartesian
2.702 0.000 0.785
12.204 0.000 4.860
-1.301 0.000 4.387
2.108 0.000 3.283
5.430 0.000 1.054
5.497 0.000 4.763
7.453 0.000 2.823
9.410 0.000 0.883
9.476 0.000 4.592
12.798 0.000 2.362
16.208 0.000 1.259
1.112 0.000 1.643
0.696 0.000 4.620
3.886 0.000 2.106
7.443 0.000 1.016
7.463 0.000 4.629
11.020 0.000 3.540
14.210 0.000 1.025
13.794 0.000 4.002
```

Largest 6 diffraction maxima, low angle first, 2θ = 10–90°:
2θ = 33.74°, I = 42
2θ = 36.91°, I = 41
2θ = 38.83°, I = 100
2θ = 42.27°, I = 59
2θ = 44.16°, I = 39
2θ = 48.23°, I = 87



# 7
# FeCo10N8
Simulated powder diffractogram, copper Kα. Input: a GGA-PBE-relaxed structure.

Atomic structure:
```
FeCo10N8
1.0
6.957 -1.976 0.000
6.957 1.976 0.000
-1.801 0.000 6.119
Fe Co N
1 10 8
Cartesian
0.000 0.000 0.000
0.480 0.000 3.016
0.772 0.000 5.738
3.252 0.000 2.005
3.605 0.000 5.026
5.813 0.000 1.827
6.301 0.000 4.293
8.509 0.000 1.094
8.862 0.000 4.114
11.342 0.000 0.381
11.634 0.000 3.104
-0.741 0.000 4.515
1.522 0.000 1.290
4.329 0.000 0.481
4.535 0.000 3.362
7.579 0.000 2.758
7.785 0.000 5.638
10.592 0.000 4.829
12.855 0.000 1.605
```

Largest 6 diffraction maxima, low angle first, 2θ = 10–90°:
2θ = 39.30°, I = 94
2θ = 39.96°, I = 100
2θ = 45.07°, I = 50
2θ = 45.93°, I = 62
2θ = 47.25°, I = 53
2θ = 68.01°, I = 31



# 8
# FeCo3N3
Simulated powder diffractogram, copper Kα. Input: a GGA-PBE-relaxed structure.

Atomic structure:
```
FeCo3N3
1.0
6.315 0.000 0.000
-3.158 5.469 0.000
0.000 0.000 3.866
Fe Co N
2 6 6
Cartesian
0.000 3.646 0.966
3.158 1.823 2.899
-0.003 1.974 2.899
-1.447 4.484 2.899
1.709 0.989 0.966
1.449 4.480 2.899
4.604 0.985 0.966
3.160 3.495 0.966
-0.005 1.861 0.966
-1.544 4.543 0.966
1.609 0.934 2.899
1.549 4.535 0.966
4.702 0.926 2.899
3.162 3.609 2.899
```

Largest 6 diffraction maxima, low angle first, 2θ = 10–90°:
2θ = 32.75°, I = 60
2θ = 40.40°, I = 100
2θ = 47.01°, I = 27
2θ = 58.46°, I = 54
2θ = 73.46°, I = 14
2θ = 78.17°, I = 27